SrMnAgF6: simulated XRD peak list (Cu Kα), based on the PBE+U geometry in Alexandria.
No peak broadening, texture or thermal motion is included.

Atomic structure:
```
data_SrMnAgF6
_space_group_name_H-M_alt 'P 42 n m'
_space_group_IT_number 102
_space_group_name_Hall 'P 4n -2n'
_cell_length_a 5.2617
_cell_length_b 5.2617
_cell_length_c 10.5237
_cell_angle_alpha 90.00
_cell_angle_beta 90.00
_cell_angle_gamma 90.00
loop_
_atom_site_label
_atom_site_type_symbol
_atom_site_fract_x
_atom_site_fract_y
_atom_site_fract_z
Sr1 Sr 0.0000 0.0000 0.0000
Mn1 Mn 0.0000 0.0000 0.6631
Ag1 Ag 0.0000 0.0000 0.3265
F1 F 0.1748 0.1748 0.8000
F2 F 0.1775 0.1775 0.5282
F3 F 0.2397 0.2397 0.1592
```

The 10 most intense peaks (10 to 90 degrees two-theta), low angle first:
two_theta  I_rel  hkl
23.92  100  1 1 0
30.63  71  1 0 3
34.08  18  2 0 0
46.47  66  2 1 3
48.96  20  2 2 0
55.20  13  3 1 0
58.15  15  1 1 6
58.87  21  3 0 3
69.80  12  3 2 3
80.01  12  4 1 3